1.
Computed PXRD pattern of Rb2HBr6N for a wavelength of 1.5418 Å, from a cell relaxed with GGA-PBE.
Lines closer than 0.1° are merged.

Principal peaks in the range 10° ≤ 2θ ≤ 90°, in order of falling intensity:
30.5 deg, d 2.931, I = 100
37.9 deg, d 2.376, I = 33
63.9 deg, d 1.457, I = 23
29.8 deg, d 2.996, I = 23
48.9 deg, d 1.862, I = 22
54.6 deg, d 1.680, I = 11
53.4 deg, d 1.717, I = 10
63.5 deg, d 1.465, I = 10
25.9 deg, d 3.434, I = 7
88.9 deg, d 1.101, I = 6

Atomic structure:
Cell: 7.648 7.648 7.648 Å, 127.88 127.88 76.83°
Positions (direct):
Rb  0.250  0.750  0.500
Rb  0.750  0.250  0.500
H  0.000  0.000  0.000
Br  0.242  0.242  0.485
Br  0.242  0.758  0.000
Br  0.299  0.299  0.000
Br  0.701  0.701  0.000
Br  0.758  0.242  0.000
Br  0.758  0.758  0.515
N  0.500  0.500  0.000

=====

2.
Computed PXRD pattern of ScH6Br3N2 for a wavelength of 1.5418 Å, from a cell relaxed with GGA-PBE.
Lines closer than 0.1° are merged.

Principal peaks in the range 10° ≤ 2θ ≤ 90°, in order of falling intensity:
30.8 deg, d 2.906, I = 100
30.3 deg, d 2.947, I = 92
27.8 deg, d 3.209, I = 67
15.9 deg, d 5.561, I = 67
27.9 deg, d 3.195, I = 64
29.0 deg, d 3.076, I = 51
29.6 deg, d 3.023, I = 49
18.6 deg, d 4.759, I = 47
21.6 deg, d 4.113, I = 46
21.3 deg, d 4.164, I = 46

Atomic structure:
Cell: 7.330 10.621 11.624 Å, 73.51 88.92 70.89°
Positions (direct):
Sc  0.109  0.227  0.196
Sc  0.356  0.814  0.299
Sc  0.644  0.186  0.701
Sc  0.891  0.773  0.804
H  0.201  0.465  0.200
H  0.215  0.458  0.060
H  0.247  0.294  0.609
H  0.249  0.292  0.751
H  0.254  0.789  0.073
H  0.272  0.782  0.544
H  0.289  0.938  0.488
H  0.289  0.939  0.048
H  0.296  0.418  0.647
H  0.394  0.360  0.162
H  0.476  0.797  0.064
H  0.488  0.802  0.535
H  0.512  0.198  0.465
H  0.524  0.203  0.936
H  0.606  0.640  0.838
H  0.704  0.582  0.353
H  0.711  0.061  0.952
H  0.711  0.062  0.512
H  0.728  0.218  0.456
H  0.746  0.211  0.927
H  0.751  0.708  0.249
H  0.753  0.706  0.391
H  0.785  0.542  0.940
H  0.799  0.535  0.800
Br  0.002  0.002  0.743
Br  0.125  0.225  0.969
Br  0.143  0.222  0.422
Br  0.244  0.603  0.836
Br  0.266  0.594  0.359
Br  0.481  0.037  0.236
Br  0.519  0.963  0.764
Br  0.734  0.406  0.641
Br  0.756  0.397  0.164
Br  0.857  0.778  0.578
Br  0.875  0.775  0.031
Br  0.998  0.998  0.257
N  0.246  0.398  0.148
N  0.319  0.313  0.674
N  0.344  0.835  0.096
N  0.353  0.835  0.491
N  0.647  0.165  0.509
N  0.656  0.165  0.904
N  0.681  0.687  0.326
N  0.754  0.602  0.852

=====

3.
Computed PXRD pattern of SrH6Br2N2 for a wavelength of 1.5418 Å, from a cell relaxed with GGA-PBE.
Lines closer than 0.1° are merged.

Principal peaks in the range 10° ≤ 2θ ≤ 90°, in order of falling intensity:
14.0 deg, d 6.342, I = 100
30.5 deg, d 2.927, I = 95
21.1 deg, d 4.201, I = 78
24.1 deg, d 3.689, I = 50
34.0 deg, d 2.634, I = 47
28.6 deg, d 3.126, I = 32
40.6 deg, d 2.222, I = 28
38.6 deg, d 2.332, I = 25
48.6 deg, d 1.874, I = 24
44.4 deg, d 2.039, I = 23

Atomic structure:
Cell: 6.793 6.793 6.424 Å, 97.48 97.48 40.16°
Positions (direct):
Sr  0.000  0.000  0.000
H  0.052  0.702  0.546
H  0.208  0.208  0.328
H  0.298  0.948  0.454
H  0.702  0.052  0.546
H  0.792  0.792  0.672
H  0.948  0.298  0.454
Br  0.387  0.387  0.193
Br  0.613  0.613  0.807
N  0.131  0.131  0.360
N  0.869  0.869  0.640

=====

4.
Computed PXRD pattern of Na4H3Br4 for a wavelength of 1.5418 Å, from a cell relaxed with GGA-PBE.
Lines closer than 0.1° are merged.

Principal peaks in the range 10° ≤ 2θ ≤ 90°, in order of falling intensity:
25.1 deg, d 3.552, I = 100
35.4 deg, d 2.536, I = 93
20.1 deg, d 4.414, I = 91
47.0 deg, d 1.935, I = 79
29.8 deg, d 2.993, I = 72
25.2 deg, d 3.536, I = 48
35.1 deg, d 2.554, I = 47
20.3 deg, d 4.382, I = 47
36.3 deg, d 2.477, I = 42
46.8 deg, d 1.943, I = 40

Atomic structure:
Cell: 11.973 5.072 5.072 Å, 60.47 90.00 90.00°
Positions (direct):
Na  0.000  0.000  0.000
Na  0.249  0.665  0.665
Na  0.500  0.999  0.999
Na  0.751  0.665  0.665
H  0.139  0.335  0.335
H  0.500  0.329  0.329
H  0.861  0.335  0.335
Br  0.000  0.665  0.665
Br  0.251  0.000  0.000
Br  0.500  0.664  0.664
Br  0.749  0.000  0.000

=====

5.
Computed PXRD pattern of NaH6Br for a wavelength of 1.5418 Å, from a cell relaxed with GGA-PBE.
Lines closer than 0.1° are merged.

Principal peaks in the range 10° ≤ 2θ ≤ 90°, in order of falling intensity:
10.7 deg, d 8.279, I = 100
21.5 deg, d 4.140, I = 29
30.7 deg, d 2.911, I = 11
23.4 deg, d 3.804, I = 11
31.1 deg, d 2.873, I = 11
32.4 deg, d 2.760, I = 9
31.7 deg, d 2.826, I = 8
32.2 deg, d 2.782, I = 8
43.7 deg, d 2.071, I = 7
33.0 deg, d 2.712, I = 7

Atomic structure:
Cell: 4.064 4.153 8.351 Å, 93.47 96.65 90.34°
Positions (direct):
Na  0.000  0.000  0.000
H  0.043  0.084  0.694
H  0.078  0.055  0.325
H  0.490  0.489  0.543
H  0.510  0.511  0.457
H  0.922  0.945  0.675
H  0.957  0.916  0.306
Br  0.500  0.500  0.000

=====

6.
Computed PXRD pattern of Na3H2Br for a wavelength of 1.5418 Å, from a cell relaxed with GGA-PBE.
Lines closer than 0.1° are merged.

Principal peaks in the range 10° ≤ 2θ ≤ 90°, in order of falling intensity:
18.5 deg, d 4.791, I = 100
25.5 deg, d 3.489, I = 100
29.3 deg, d 3.043, I = 82
41.7 deg, d 2.168, I = 62
33.5 deg, d 2.674, I = 55
35.3 deg, d 2.545, I = 51
32.2 deg, d 2.783, I = 51
37.5 deg, d 2.398, I = 41
17.4 deg, d 5.091, I = 39
38.7 deg, d 2.324, I = 35

Atomic structure:
Cell: 7.035 7.035 7.035 Å, 126.93 87.29 116.52°
Positions (direct):
Na  0.000  0.248  0.248
Na  0.000  0.752  0.752
Na  0.500  0.000  0.000
Na  0.500  0.248  0.748
Na  0.500  0.500  0.500
Na  0.500  0.752  0.252
H  0.275  0.193  0.081
H  0.388  0.807  0.581
H  0.612  0.193  0.419
H  0.725  0.807  0.919
Br  0.158  0.408  0.750
Br  0.842  0.592  0.250

=====

7.
Computed PXRD pattern of Na3H4Br3O2 for a wavelength of 1.5418 Å, from a cell relaxed with GGA-PBE.
Lines closer than 0.1° are merged.

Principal peaks in the range 10° ≤ 2θ ≤ 90°, in order of falling intensity:
25.5 deg, d 3.496, I = 100
30.3 deg, d 2.946, I = 91
39.7 deg, d 2.272, I = 87
21.8 deg, d 4.075, I = 78
23.4 deg, d 3.798, I = 77
34.6 deg, d 2.592, I = 64
17.8 deg, d 4.980, I = 55
38.7 deg, d 2.325, I = 51
33.7 deg, d 2.663, I = 40
52.9 deg, d 1.731, I = 39

Atomic structure:
Cell: 9.727 9.727 9.727 Å, 149.09 46.09 146.67°
Positions (direct):
Na  0.000  0.000  0.000
Na  0.153  0.496  0.657
Na  0.839  0.496  0.343
H  0.169  0.302  0.867
H  0.247  0.068  0.179
H  0.435  0.302  0.133
H  0.890  0.068  0.821
Br  0.293  0.996  0.297
Br  0.699  0.996  0.703
Br  0.818  0.318  0.500
O  0.002  0.128  0.874
O  0.254  0.128  0.126